(1)
# Pm7YSc3
Theoretical powder diffraction line list, Cu Kα, 1.54184 Å. Input: a structure optimized by DFT (GGA-PBE).
Neutral-atom scattering factors, no anomalous dispersion.

Structural model:
Lattice parameters (Å, degrees): 8.338 8.338 8.338 139.20 99.46 94.52
Fractional coordinates of all 11 atoms:
Pm (0.000, 0.000, 0.000)
Pm (0.102, 0.791, 0.311)
Pm (0.305, 0.500, 0.805)
Pm (0.480, 0.791, 0.689)
Pm (0.520, 0.209, 0.311)
Pm (0.695, 0.500, 0.195)
Pm (0.898, 0.209, 0.689)
Y (0.000, 0.500, 0.500)
Sc (0.289, 0.289, 0.000)
Sc (0.500, 0.000, 0.500)
Sc (0.711, 0.711, 0.000)

Main lines, sorted by position (10 to 90 degrees two-theta):
- 3.425 Å, I 44
- 3.164 Å, I 34
- 2.907 Å, I 73
- 2.829 Å, I 37
- 2.729 Å, I 72
- 2.690 Å, I 100
- 2.216 Å, I 29
- 2.027 Å, I 28

(2)
# HgBi2Pd4Pb
Theoretical powder diffraction line list, Cu Kα, 1.54184 Å. Input: a structure optimized by DFT (GGA-PBE).
Neutral-atom scattering factors, no anomalous dispersion.

Structural model:
Lattice parameters (Å, degrees): 8.052 8.052 8.052 128.86 111.93 89.95
Fractional coordinates of all 16 atoms:
Hg (0.500, 0.000, 0.000)
Hg (0.500, 0.500, 0.500)
Bi (0.000, 0.000, 0.000)
Bi (0.000, 0.000, 0.500)
Bi (0.000, 0.500, 0.000)
Bi (0.500, 0.000, 0.500)
Pd (0.256, 0.249, 0.007)
Pd (0.258, 0.265, 0.507)
Pd (0.258, 0.751, 0.507)
Pd (0.258, 0.751, 0.993)
Pd (0.742, 0.249, 0.007)
Pd (0.742, 0.249, 0.493)
Pd (0.742, 0.735, 0.493)
Pd (0.744, 0.751, 0.993)
Pb (0.000, 0.500, 0.500)
Pb (0.500, 0.500, 0.000)

Main lines, sorted by position (10 to 90 degrees two-theta):
- 3.534 Å, I 17
- 2.848 Å, I 55
- 2.752 Å, I 100
- 2.253 Å, I 29
- 1.979 Å, I 77
- 1.767 Å, I 27
- 1.265 Å, I 18
- 1.241 Å, I 17

(3)
# LiZrSc
Theoretical powder diffraction line list, Cu Kα, 1.54184 Å. Input: a structure optimized by DFT (GGA-PBE).
Neutral-atom scattering factors, no anomalous dispersion.

Structural model:
Lattice parameters (Å, degrees): 6.846 6.846 6.846 152.96 152.96 38.61
Fractional coordinates of all 3 atoms:
Li (0.000, 0.000, 0.000)
Zr (0.332, 0.332, 0.000)
Sc (0.671, 0.671, 0.000)

Main lines, sorted by position (10 to 90 degrees two-theta):
- 6.461 Å, I 76
- 3.107 Å, I 47
- 2.569 Å, I 100
- 2.263 Å, I 34
- 2.136 Å, I 18
- 2.011 Å, I 16
- 1.560 Å, I 20
- 1.358 Å, I 25

(4)
# CsRb2SiAs2
Theoretical powder diffraction line list, Cu Kα, 1.54184 Å. Input: a structure optimized by DFT (GGA-PBE).
Neutral-atom scattering factors, no anomalous dispersion.

Structural model:
Lattice parameters (Å, degrees): 8.010 13.831 5.519 90.00 90.00 90.00
Fractional coordinates of all 12 atoms:
Cs (0.000, 0.000, 0.000)
Cs (0.500, 0.500, 0.500)
Rb (0.016, 0.311, 0.500)
Rb (0.484, 0.811, 0.000)
Rb (0.516, 0.189, 0.000)
Rb (0.984, 0.689, 0.500)
Si (0.000, 0.500, 0.000)
Si (0.500, 0.000, 0.500)
As (0.215, 0.600, 0.000)
As (0.285, 0.100, 0.500)
As (0.715, 0.900, 0.500)
As (0.785, 0.400, 0.000)

Main lines, sorted by position (10 to 90 degrees two-theta):
- 5.235 Å, I 22
- 3.998 Å, I 58
- 3.798 Å, I 100
- 3.156 Å, I 55
- 2.758 Å, I 37
- 2.473 Å, I 32
- 2.271 Å, I 25
- 1.617 Å, I 25